1.
Structure and theoretical powder diffraction line list of Li7Mn4CoO12 (DFT lattice parameters and positions (GGA+U); Cu Kα, 1.54184 Å).

Main lines, by angle (10° ≤ 2θ ≤ 90°):
- 18.5 deg, rel. 100
- 33.8 deg, rel. 19
- 36.1 deg, rel. 23
- 40.9 deg, rel. 34
- 44.2 deg, rel. 56
- 47.0 deg, rel. 10
- 58.5 deg, rel. 9
- 61.2 deg, rel. 17
- 62.3 deg, rel. 16
- 64.6 deg, rel. 8

Cell lengths 14.6142, 14.6142, 5.3488 Å; angles 97.20, 97.20, 11.33 degrees
Sites, in units of the cell vectors:
Li  0.0000  0.0000  0.0000
Li  0.0787  0.0787  0.7318
Li  0.2498  0.2498  0.2485
Li  0.4190  0.4190  0.7540
Li  0.5810  0.5810  0.2460
Li  0.7502  0.7502  0.7515
Li  0.9213  0.9213  0.2682
Mn  0.1658  0.1658  0.4974
Mn  0.3356  0.3356  0.0038
Mn  0.6644  0.6644  0.9962
Mn  0.8342  0.8342  0.5026
Co  0.5000  0.5000  0.5000
O  0.0372  0.0372  0.3889
O  0.1245  0.1245  0.0977
O  0.2044  0.2044  0.8967
O  0.2949  0.2949  0.6071
O  0.3735  0.3735  0.4021
O  0.4662  0.4662  0.1926
O  0.5338  0.5338  0.8074
O  0.6265  0.6265  0.5979
O  0.7051  0.7051  0.3929
O  0.7956  0.7956  0.1033
O  0.8755  0.8755  0.9023
O  0.9628  0.9628  0.6111

***

2.
Structure and theoretical powder diffraction line list of Li7Mn2Co3O12 (DFT lattice parameters and positions (GGA+U); Cu Kα, 1.54184 Å).

Main lines, by angle (10° ≤ 2θ ≤ 90°):
- 18.4 deg, rel. 100
- 36.0 deg, rel. 40
- 37.4 deg, rel. 9
- 43.6 deg, rel. 58
- 43.8 deg, rel. 28
- 47.9 deg, rel. 9
- 57.5 deg, rel. 11
- 63.5 deg, rel. 16
- 63.6 deg, rel. 15
- 67.0 deg, rel. 9

Cell lengths 6.5429, 6.5429, 11.8064 Å; angles 103.16, 103.16, 25.78 degrees
Sites, in units of the cell vectors:
Li  0.0000  0.0000  0.0000
Li  0.0021  0.0021  0.7559
Li  0.3338  0.3338  0.5811
Li  0.3412  0.3412  0.0852
Li  0.6588  0.6588  0.9148
Li  0.6662  0.6662  0.4189
Li  0.9979  0.9979  0.2441
Mn  0.3401  0.3401  0.8374
Mn  0.6599  0.6599  0.1626
Co  0.0000  0.0000  0.5000
Co  0.3345  0.3345  0.3333
Co  0.6655  0.6655  0.6667
O  0.1646  0.1646  0.5475
O  0.1685  0.1685  0.0574
O  0.1707  0.1707  0.2798
O  0.1744  0.1744  0.7856
O  0.4870  0.4870  0.8686
O  0.4964  0.4964  0.3830
O  0.5036  0.5036  0.6170
O  0.5130  0.5130  0.1314
O  0.8256  0.8256  0.2144
O  0.8293  0.8293  0.7202
O  0.8315  0.8315  0.9426
O  0.8354  0.8354  0.4525

***

3.
Structure and theoretical powder diffraction line list of Li7Mn4CoO12 (DFT lattice parameters and positions (GGA+U); Cu Kα, 1.54184 Å).

Main lines, by angle (10° ≤ 2θ ≤ 90°):
- 10.2 deg, rel. 11
- 18.4 deg, rel. 100
- 21.1 deg, rel. 9
- 35.1 deg, rel. 13
- 36.4 deg, rel. 25
- 42.3 deg, rel. 30
- 44.2 deg, rel. 52
- 58.3 deg, rel. 9
- 62.8 deg, rel. 14
- 63.0 deg, rel. 15

Cell lengths 10.0747, 10.0747, 5.1585 Å; angles 100.82, 100.82, 118.12 degrees
Sites, in units of the cell vectors:
Li  0.0002  0.9998  0.0000
Li  0.0058  0.4987  0.9853
Li  0.0875  0.4119  0.4948
Li  0.1742  0.3322  0.0047
Li  0.2536  0.2536  0.5048
Li  0.3335  0.1729  0.9995
Li  0.4235  0.0866  0.4931
Li  0.5013  0.9942  0.0147
Li  0.5015  0.4985  0.0000
Li  0.5881  0.9125  0.5052
Li  0.6678  0.8258  0.9953
Li  0.7464  0.7464  0.4952
Li  0.8271  0.6665  0.0005
Li  0.9134  0.5765  0.5069
Mn  0.0822  0.9178  0.5000
Mn  0.1650  0.8350  0.0000
Mn  0.3360  0.6640  0.0000
Mn  0.4189  0.5811  0.5000
Mn  0.5858  0.4142  0.5000
Mn  0.6666  0.3334  0.0000
Mn  0.8369  0.1631  0.0000
Mn  0.9170  0.0830  0.5000
Co  0.2527  0.7473  0.5000
Co  0.7518  0.2482  0.5000
O  0.0228  0.1922  0.2587
O  0.0492  0.7271  0.2369
O  0.1165  0.1155  0.7192
O  0.1370  0.6398  0.7736
O  0.1979  0.0195  0.2616
O  0.2188  0.5363  0.2652
O  0.2729  0.9508  0.7631
O  0.3067  0.4775  0.7415
O  0.3602  0.8630  0.2264
O  0.3876  0.3802  0.2806
O  0.4637  0.7812  0.7348
O  0.4795  0.3019  0.7406
O  0.5225  0.6933  0.2585
O  0.5521  0.2146  0.2768
O  0.6198  0.6123  0.7194
O  0.6464  0.1430  0.7505
O  0.6981  0.5205  0.2594
O  0.7179  0.0479  0.2785
O  0.7854  0.4479  0.7232
O  0.8078  0.9772  0.7413
O  0.8570  0.3536  0.2495
O  0.8845  0.8835  0.2808
O  0.9521  0.2821  0.7215
O  0.9805  0.8021  0.7384

***

4.
Structure and theoretical powder diffraction line list of Li7Mn4CoO12 (DFT lattice parameters and positions (GGA+U); Cu Kα, 1.54184 Å).

Main lines, by angle (10° ≤ 2θ ≤ 90°):
- 11.7 deg, rel. 12
- 18.3 deg, rel. 100
- 34.7 deg, rel. 17
- 36.3 deg, rel. 11
- 36.6 deg, rel. 11
- 41.4 deg, rel. 34
- 44.3 deg, rel. 27
- 44.4 deg, rel. 28
- 58.4 deg, rel. 9
- 61.8 deg, rel. 8

Cell lengths 5.9175, 7.8006, 9.9160 Å; angles 90.31, 101.06, 103.74 degrees
Sites, in units of the cell vectors:
Li  0.0380  0.4312  0.2409
Li  0.1235  0.2591  0.7570
Li  0.2119  0.0827  0.2568
Li  0.2500  0.5000  0.0001
Li  0.2874  0.9171  0.7434
Li  0.3755  0.7413  0.2432
Li  0.4619  0.5685  0.7593
Li  0.5381  0.4315  0.2407
Li  0.6245  0.2587  0.7568
Li  0.7126  0.0829  0.2566
Li  0.7500  0.5000  0.9999
Li  0.7881  0.9173  0.7432
Li  0.8765  0.7409  0.2430
Li  0.9620  0.5688  0.7591
Mn  0.0772  0.8242  0.0033
Mn  0.1673  0.6692  0.5007
Mn  0.3320  0.3312  0.4992
Mn  0.4228  0.1756  0.9966
Mn  0.5772  0.8244  0.0034
Mn  0.6680  0.6688  0.5008
Mn  0.8327  0.3308  0.4993
Mn  0.9228  0.1758  0.9967
Co  0.0000  0.0000  0.5000
Co  0.5000  0.0000  0.5000
O  0.0390  0.1975  0.3819
O  0.0607  0.6425  0.1176
O  0.1041  0.0493  0.8948
O  0.1276  0.4671  0.6195
O  0.2057  0.8722  0.3861
O  0.2372  0.2689  0.1091
O  0.2629  0.7310  0.8908
O  0.2933  0.1266  0.6131
O  0.3732  0.5333  0.3805
O  0.3959  0.9507  0.1052
O  0.4392  0.3572  0.8821
O  0.4613  0.8036  0.6176
O  0.5387  0.1964  0.3824
O  0.5608  0.6428  0.1179
O  0.6041  0.0493  0.8948
O  0.6268  0.4667  0.6195
O  0.7067  0.8734  0.3869
O  0.7371  0.2690  0.1092
O  0.7628  0.7311  0.8909
O  0.7943  0.1278  0.6139
O  0.8724  0.5329  0.3805
O  0.8959  0.9507  0.1052
O  0.9393  0.3575  0.8824
O  0.9610  0.8025  0.6181

***

5.
Structure and theoretical powder diffraction line list of LiMn2Co2O8 (DFT lattice parameters and positions (GGA+U); Cu Kα, 1.54184 Å).

Main lines, by angle (10° ≤ 2θ ≤ 90°):
- 18.8 deg, rel. 100
- 19.0 deg, rel. 38
- 19.4 deg, rel. 48
- 36.6 deg, rel. 16
- 36.7 deg, rel. 12
- 36.9 deg, rel. 12
- 37.3 deg, rel. 16
- 44.8 deg, rel. 100
- 64.6 deg, rel. 18
- 65.8 deg, rel. 17

Cell lengths 5.6837, 5.6837, 5.6389 Å; angles 118.72, 118.72, 61.66 degrees
Sites, in units of the cell vectors:
Li  0.0000  0.0000  0.0000
Mn  0.0000  0.5000  0.5000
Mn  0.5000  0.0000  0.5000
Co  0.5000  0.5000  0.0000
Co  0.5000  0.5000  0.5000
O  0.2599  0.2599  0.2872
O  0.2641  0.7091  0.7421
O  0.2662  0.2662  0.7440
O  0.2909  0.7359  0.2579
O  0.7091  0.2641  0.7421
O  0.7338  0.7338  0.2560
O  0.7359  0.2909  0.2579
O  0.7401  0.7401  0.7128

***

6.
Structure and theoretical powder diffraction line list of Li6Mn3CoO10 (DFT lattice parameters and positions (GGA+U); Cu Kα, 1.54184 Å).

Main lines, by angle (10° ≤ 2θ ≤ 90°):
- 16.2 deg, rel. 9
- 18.3 deg, rel. 100
- 34.3 deg, rel. 18
- 36.4 deg, rel. 22
- 41.1 deg, rel. 37
- 44.3 deg, rel. 29
- 44.5 deg, rel. 27
- 62.3 deg, rel. 9
- 62.4 deg, rel. 9
- 64.0 deg, rel. 9

Cell lengths 2.9906, 6.0201, 10.3555 Å; angles 97.39, 96.81, 94.03 degrees
Sites, in units of the cell vectors:
Li  0.0000  0.0000  0.0000
Li  0.0149  0.4766  0.0011
Li  0.2029  0.0845  0.3894
Li  0.4129  0.6963  0.8030
Li  0.5996  0.2764  0.1837
Li  0.8044  0.8905  0.5945
Mn  0.2022  0.5901  0.3905
Mn  0.4150  0.1809  0.8029
Mn  0.8139  0.3832  0.5931
Co  0.5930  0.7955  0.1834
O  0.0752  0.0160  0.1941
O  0.1344  0.5519  0.2000
O  0.2706  0.6296  0.5886
O  0.3485  0.1464  0.6042
O  0.4955  0.2352  0.9812
O  0.5175  0.7391  0.0132
O  0.6680  0.8274  0.3782
O  0.7406  0.3475  0.4010
O  0.8859  0.9680  0.7964
O  0.9314  0.4058  0.7894

***

7.
Structure and theoretical powder diffraction line list of Li3Mn3CoO8 (DFT lattice parameters and positions (GGA+U); Cu Kα, 1.54184 Å).

Main lines, by angle (10° ≤ 2θ ≤ 90°):
- 18.6 deg, rel. 90
- 19.6 deg, rel. 63
- 19.9 deg, rel. 100
- 33.3 deg, rel. 45
- 35.7 deg, rel. 83
- 36.9 deg, rel. 61
- 40.5 deg, rel. 45
- 46.0 deg, rel. 77
- 60.9 deg, rel. 54
- 62.9 deg, rel. 50

Cell lengths 5.9122, 5.9122, 9.5359 Å; angles 90.00, 90.00, 121.59 degrees
Sites, in units of the cell vectors:
Li  0.1745  0.8255  0.5000
Li  0.1756  0.3485  0.5009
Li  0.3485  0.1756  0.0009
Li  0.6515  0.8244  0.5009
Li  0.8244  0.6515  0.0009
Li  0.8255  0.1745  0.0000
Mn  0.1671  0.3348  0.2304
Mn  0.1677  0.8323  0.2285
Mn  0.3348  0.1671  0.7304
Mn  0.6652  0.8329  0.2304
Mn  0.8323  0.1677  0.7285
Mn  0.8329  0.6652  0.7304
Co  0.3353  0.6647  0.9472
Co  0.6647  0.3353  0.4472
O  0.0162  0.9838  0.6160
O  0.0325  0.5117  0.1090
O  0.1570  0.8430  0.8453
O  0.1615  0.3121  0.8405
O  0.3121  0.1615  0.3405
O  0.3490  0.6510  0.3488
O  0.4834  0.5166  0.1108
O  0.4883  0.9675  0.1090
O  0.5117  0.0325  0.6090
O  0.5166  0.4834  0.6108
O  0.6510  0.3490  0.8488
O  0.6879  0.8385  0.8405
O  0.8385  0.6879  0.3405
O  0.8430  0.1570  0.3453
O  0.9675  0.4883  0.6090
O  0.9838  0.0162  0.1160

***

8.
Structure and theoretical powder diffraction line list of Li5MnCo2O8 (DFT lattice parameters and positions (GGA+U); Cu Kα, 1.54184 Å).

Main lines, by angle (10° ≤ 2θ ≤ 90°):
- 15.0 deg, rel. 13
- 18.4 deg, rel. 100
- 18.8 deg, rel. 12
- 24.1 deg, rel. 13
- 35.9 deg, rel. 27
- 36.8 deg, rel. 12
- 43.5 deg, rel. 64
- 44.5 deg, rel. 29
- 63.4 deg, rel. 25
- 64.5 deg, rel. 16

Cell lengths 4.9714, 5.9080, 5.0711 Å; angles 90.00, 108.41, 90.00 degrees
Sites, in units of the cell vectors:
Li  0.0000  0.0000  0.0000
Li  0.0000  0.2400  0.5000
Li  0.0000  0.7600  0.5000
Li  0.5000  0.0000  0.5000
Li  0.5000  0.5000  0.5000
Mn  0.0000  0.5000  0.0000
Co  0.5000  0.2409  0.0000
Co  0.5000  0.7591  0.0000
O  0.2423  0.5000  0.7712
O  0.2498  0.2685  0.2204
O  0.2498  0.7315  0.2204
O  0.2755  0.0000  0.7603
O  0.7245  0.0000  0.2397
O  0.7502  0.2685  0.7796
O  0.7502  0.7315  0.7796
O  0.7577  0.5000  0.2288